# LiThI4
Theoretical powder diffractogram, Cu Kα, 1.54184 Å. Input: a structure optimized by DFT (PBE).
Kinematic intensities with the Lorentz-polarization factor, no thermal factor.

Main lines, sorted by position (10° ≤ 2θ ≤ 80°):
| hkl | 2θ/deg | d [Å] | Rel. int. |
| --- | --- | --- | --- |
| 0 0 1 | 11.05 | 8.007 | 75 |
| 1 0 0 | 11.92 | 7.422 | 22 |
| 1 0 -1 | 13.48 | 6.569 | 27 |
| 0 1 1 | 24.55 | 3.626 | 23 |
| 1 1 -1 | 25.77 | 3.458 | 20 |
| 2 0 -2 | 27.15 | 3.285 | 58 |
| 1 1 1 | 28.90 | 3.089 | 100 |
| 2 0 2 | 37.89 | 2.375 | 21 |
| 1 1 -3 | 38.98 | 2.311 | 40 |
| 3 1 -1 | 41.14 | 2.194 | 41 |
| 0 2 0 | 44.56 | 2.033 | 16 |
| 2 2 -2 | 52.96 | 1.729 | 18 |

Structure:
a b c (Å): 7.8186 4.0667 8.4343
angles (deg): 90.00 108.32 90.00
Space group P2/m (No. 10)
Symmetry-distinct sites (fractional):
Li (0.0000, 0.0000, 0.0000) x1
Th (0.5000, 0.5000, 0.0000) x1
I (0.2360, 0.0000, 0.7500) x2
I (0.2372, 0.5000, 0.2102) x2

***

# Li2TiI6
Theoretical powder diffractogram, Cu Kα, 1.54184 Å. Input: a structure optimized by DFT (PBE).
Kinematic intensities with the Lorentz-polarization factor, no thermal factor.

Main lines, sorted by position (10° ≤ 2θ ≤ 80°):
| hkl | 2θ/deg | d [Å] | Rel. int. |
| --- | --- | --- | --- |
| 2 0 0 | 25.47 | 3.497 | 42 |
| 1 1 3 | 27.89 | 3.198 | 100 |
| 2 1 0 | 28.54 | 3.128 | 35 |
| 2 1 3 | 35.82 | 2.507 | 13 |
| 2 2 0 | 36.33 | 2.473 | 16 |
| 3 0 3 | 44.46 | 2.038 | 25 |
| 3 1 3 | 46.42 | 1.956 | 19 |
| 2 0 6 | 50.77 | 1.798 | 11 |
| 3 2 3 | 51.94 | 1.761 | 13 |
| 2 1 6 | 52.55 | 1.742 | 12 |
| 4 1 0 | 54.06 | 1.696 | 15 |
| 4 1 6 | 71.55 | 1.319 | 12 |

Structure:
a b c (Å): 6.9938 6.9938 12.5808
angles (deg): 90.00 90.00 90.00
Space group P4_2/mnm (No. 136)
Symmetry-distinct sites (fractional):
Li (0.0000, 0.0000, 0.1667) x4
Ti (0.0000, 0.0000, 0.5000) x2
I (0.1932, 0.1932, 0.3426) x8
I (0.2151, 0.2151, 0.0000) x4

***

# Li2TiI4
Theoretical powder diffractogram, Cu Kα, 1.54184 Å. Input: a structure optimized by DFT (PBE).
Kinematic intensities with the Lorentz-polarization factor, no thermal factor.

Main lines, sorted by position (10° ≤ 2θ ≤ 80°):
| hkl | 2θ/deg | d [Å] | Rel. int. |
| --- | --- | --- | --- |
| 1 1 2 | 23.84 | 3.732 | 100 |
| 2 0 0 | 27.27 | 3.270 | 27 |
| 0 0 4 | 28.24 | 3.160 | 13 |
| 2 2 0 | 38.95 | 2.313 | 17 |
| 2 0 4 | 39.66 | 2.273 | 32 |
| 3 1 2 | 46.18 | 1.966 | 33 |
| 1 1 6 | 47.42 | 1.917 | 15 |
| 2 2 4 | 48.80 | 1.866 | 11 |
| 3 3 2 | 61.96 | 1.498 | 7 |
| 3 1 6 | 62.98 | 1.476 | 13 |
| 4 2 4 | 71.01 | 1.327 | 11 |
| 5 1 2 | 75.65 | 1.257 | 8 |

Structure:
a b c (Å): 6.5409 6.5409 12.6403
angles (deg): 90.00 90.00 90.00
Space group I-42m (No. 121)
Symmetry-distinct sites (fractional):
Li (0.0000, 0.5000, 0.2500) x4
Ti (0.0000, 0.0000, 0.0000) x2
I (0.2468, 0.2468, 0.1252) x8